1.
Theoretical powder diffraction line list
Compound: Pr3Nd8Dy4
Radiation: Cu Ka
Structure: a crystal structure in Alexandria, relaxed with PBE
Lines closer than 0.1° are merged.

Structural model:
Cell: 9.3728 9.3728 6.9466 Å, 111.67 111.67 82.17°
Fractional positions:
Pr 0.0000 0.0000 0.0000
Pr 0.0000 0.5000 0.0000
Pr 0.5000 0.0000 0.0000
Nd 0.2051 0.7949 0.5000
Nd 0.2056 0.2056 0.7048
Nd 0.2535 0.7465 0.0000
Nd 0.2536 0.2536 0.2559
Nd 0.7464 0.7464 0.7441
Nd 0.7465 0.2535 0.0000
Nd 0.7944 0.7944 0.2952
Nd 0.7949 0.2051 0.5000
Dy 0.0000 0.5000 0.5000
Dy 0.5000 0.0000 0.5000
Dy 0.5000 0.5000 0.0000
Dy 0.5000 0.5000 0.5000

Largest 10 diffraction maxima, in order of falling intensity, 15 to 90 degrees two-theta:
- 29.0 deg, intensity 100
- 29.5 deg, intensity 56
- 33.0 deg, intensity 49
- 41.5 deg, intensity 33
- 41.9 deg, intensity 31
- 51.7 deg, intensity 18
- 61.3 deg, intensity 18
- 60.4 deg, intensity 18
- 25.6 deg, intensity 17
- 39.1 deg, intensity 15

=====

2.
Theoretical powder diffraction line list
Compound: AcHo2Se5
Radiation: Cu Ka
Structure: a crystal structure in Alexandria, relaxed with PBE
Lines closer than 0.1° are merged.

Structural model:
Cell: 8.6796 8.6796 8.6796 Å, 126.97 126.97 78.31°
Fractional positions:
Ac 0.2500 0.2500 0.0000
Ac 0.7500 0.7500 0.0000
Ho 0.1567 0.6567 0.8133
Ho 0.3433 0.1567 0.5000
Ho 0.6567 0.8433 0.5000
Ho 0.8433 0.3433 0.1867
Se 0.0000 0.0000 0.0000
Se 0.0105 0.2079 0.5000
Se 0.2079 0.7079 0.1975
Se 0.2921 0.4895 0.5000
Se 0.4895 0.9895 0.1975
Se 0.5000 0.5000 0.0000
Se 0.5105 0.0105 0.8025
Se 0.7079 0.5105 0.5000
Se 0.7921 0.2921 0.8025
Se 0.9895 0.7921 0.5000

Largest 10 diffraction maxima, in order of falling intensity, 15 to 90 degrees two-theta:
- 32.7 deg, intensity 100
- 36.7 deg, intensity 62
- 26.5 deg, intensity 35
- 42.5 deg, intensity 29
- 20.9 deg, intensity 28
- 52.8 deg, intensity 23
- 31.2 deg, intensity 20
- 68.5 deg, intensity 19
- 67.5 deg, intensity 18
- 45.8 deg, intensity 15

=====

3.
Theoretical powder diffraction line list
Compound: MoAsI2N
Radiation: Cu Ka
Structure: a crystal structure in Alexandria, relaxed with PBE
Lines closer than 0.1° are merged.

Structural model:
Cell: 5.5687 5.5687 3.8169 Å, 90.00 90.00 90.00°
Fractional positions:
Mo 0.0000 0.0000 0.0000
As 0.5000 0.5000 0.5000
I 0.0000 0.5000 0.0000
I 0.5000 0.0000 0.0000
N 0.0000 0.0000 0.5000

Largest 10 diffraction maxima, in order of falling intensity, 15 to 90 degrees two-theta:
- 32.1 deg, intensity 100
- 32.7 deg, intensity 59
- 23.3 deg, intensity 39
- 28.3 deg, intensity 38
- 40.1 deg, intensity 37
- 46.1 deg, intensity 36
- 58.6 deg, intensity 34
- 43.4 deg, intensity 24
- 57.6 deg, intensity 22
- 68.5 deg, intensity 21

=====

4.
Theoretical powder diffraction line list
Compound: KOs2Cl11
Radiation: Cu Ka
Structure: a crystal structure in Alexandria, relaxed with PBE
Lines closer than 0.1° are merged.

Structural model:
Cell: 10.7794 10.7794 10.7898 Å, 119.62 119.62 74.59°
Fractional positions:
K 0.2118 0.7882 0.0000
K 0.7882 0.2118 0.0000
Os 0.3388 0.3388 0.4419
Os 0.4501 0.4501 0.1505
Os 0.8359 0.8359 0.1201
Os 0.9574 0.9574 0.6329
Cl 0.0627 0.0627 0.9065
Cl 0.0816 0.8334 0.2434
Cl 0.0897 0.3423 0.3081
Cl 0.1721 0.9253 0.6274
Cl 0.2225 0.4724 0.9625
Cl 0.3295 0.3295 0.6414
Cl 0.3297 0.3297 0.2016
Cl 0.3336 0.5814 0.5549
Cl 0.3423 0.0897 0.3081
Cl 0.4211 0.6690 0.3356
Cl 0.4724 0.2225 0.9625
Cl 0.5475 0.5475 0.0725
Cl 0.5814 0.3336 0.5549
Cl 0.5905 0.8405 0.0102
Cl 0.6690 0.4211 0.3356
Cl 0.7344 0.9860 0.6306
Cl 0.8296 0.8296 0.3442
Cl 0.8334 0.0816 0.2434
Cl 0.8329 0.8329 0.9051
Cl 0.8405 0.5905 0.0102
Cl 0.9253 0.1721 0.6274
Cl 0.9860 0.7344 0.6306

Largest 10 diffraction maxima, in order of falling intensity, 15 to 90 degrees two-theta:
- 18.9 deg, intensity 100
- 16.9 deg, intensity 74
- 17.0 deg, intensity 73
- 25.7 deg, intensity 71
- 34.7 deg, intensity 65
- 16.4 deg, intensity 51
- 34.8 deg, intensity 39
- 21.4 deg, intensity 38
- 17.2 deg, intensity 34
- 44.8 deg, intensity 32

=====

5.
Theoretical powder diffraction line list
Compound: Sm6Ho6Tm
Radiation: Cu Ka
Structure: a crystal structure in Alexandria, relaxed with PBE
Lines closer than 0.1° are merged.

Structural model:
Cell: 6.6989 6.6989 11.3489 Å, 90.00 90.00 120.00°
Fractional positions:
Sm 0.0000 0.0000 0.1581
Sm 0.0000 0.0000 0.8419
Sm 0.3333 0.6667 0.0000
Sm 0.3333 0.6667 0.5000
Sm 0.6667 0.3333 0.0000
Sm 0.6667 0.3333 0.5000
Ho 0.0000 0.5000 0.2552
Ho 0.0000 0.5000 0.7448
Ho 0.5000 0.0000 0.2552
Ho 0.5000 0.0000 0.7448
Ho 0.5000 0.5000 0.2552
Ho 0.5000 0.5000 0.7448
Tm 0.0000 0.0000 0.5000

Largest 10 diffraction maxima, in order of falling intensity, 15 to 90 degrees two-theta:
- 34.7 deg, intensity 100
- 31.0 deg, intensity 85
- 30.8 deg, intensity 60
- 54.8 deg, intensity 38
- 26.6 deg, intensity 37
- 31.5 deg, intensity 34
- 55.8 deg, intensity 32
- 28.2 deg, intensity 28
- 35.2 deg, intensity 28
- 64.6 deg, intensity 26

=====

6.
Theoretical powder diffraction line list
Compound: LaPr6Dy
Radiation: Cu Ka
Structure: a crystal structure in Alexandria, relaxed with PBE
Lines closer than 0.1° are merged.

Structural model:
Cell: 5.2269 5.2269 10.4734 Å, 90.00 90.00 90.00°
Fractional positions:
La 0.0000 0.0000 0.0000
Pr 0.0000 0.5000 0.2538
Pr 0.0000 0.5000 0.7462
Pr 0.5000 0.0000 0.2538
Pr 0.5000 0.0000 0.7462
Pr 0.5000 0.5000 0.0000
Pr 0.5000 0.5000 0.5000
Dy 0.0000 0.0000 0.5000

Largest 10 diffraction maxima, in order of falling intensity, 15 to 90 degrees two-theta:
- 29.6 deg, intensity 100
- 34.3 deg, intensity 51
- 58.5 deg, intensity 43
- 49.3 deg, intensity 36
- 80.0 deg, intensity 18
- 61.4 deg, intensity 12
- 82.5 deg, intensity 11
- 82.4 deg, intensity 5
- 72.3 deg, intensity 4
- 72.2 deg, intensity 2

=====

7.
Theoretical powder diffraction line list
Compound: Rb2LaCd2S4
Radiation: Cu Ka
Structure: a crystal structure in Alexandria, relaxed with PBE
Lines closer than 0.1° are merged.

Structural model:
Cell: 8.5679 8.5679 8.3143 Å, 112.43 112.43 28.25°
Fractional positions:
Rb 0.1266 0.1266 0.0556
Rb 0.8734 0.8734 0.9444
La 0.0000 0.0000 0.5000
Cd 0.3131 0.3131 0.4815
Cd 0.6869 0.6869 0.5185
S 0.1891 0.1891 0.7150
S 0.4718 0.4718 0.7171
S 0.5282 0.5282 0.2829
S 0.8109 0.8109 0.2850

Largest 10 diffraction maxima, in order of falling intensity, 15 to 90 degrees two-theta:
- 27.1 deg, intensity 100
- 31.5 deg, intensity 81
- 32.7 deg, intensity 77
- 23.3 deg, intensity 56
- 30.0 deg, intensity 52
- 43.3 deg, intensity 36
- 39.2 deg, intensity 32
- 50.9 deg, intensity 29
- 32.4 deg, intensity 29
- 35.2 deg, intensity 27

=====

8.
Theoretical powder diffraction line list
Compound: TmSc7Ga4
Radiation: Cu Ka
Structure: a crystal structure in Alexandria, relaxed with PBE
Lines closer than 0.1° are merged.

Structural model:
Cell: 6.8836 6.8836 9.7652 Å, 121.74 121.74 43.47°
Fractional positions:
Tm 0.0000 0.0000 0.0000
Sc 0.0627 0.0627 0.3849
Sc 0.2159 0.2159 0.8765
Sc 0.3070 0.3070 0.3699
Sc 0.5000 0.5000 0.0000
Sc 0.6930 0.6930 0.6301
Sc 0.7841 0.7841 0.1235
Sc 0.9373 0.9373 0.6151
Ga 0.3162 0.3162 0.6707
Ga 0.4372 0.4372 0.2294
Ga 0.5628 0.5628 0.7706
Ga 0.6838 0.6838 0.3293

Largest 10 diffraction maxima, in order of falling intensity, 15 to 90 degrees two-theta:
- 35.2 deg, intensity 100
- 33.3 deg, intensity 76
- 41.6 deg, intensity 74
- 33.0 deg, intensity 56
- 31.3 deg, intensity 56
- 37.8 deg, intensity 42
- 25.6 deg, intensity 35
- 30.9 deg, intensity 33
- 47.8 deg, intensity 33
- 27.5 deg, intensity 32

=====

9.
Theoretical powder diffraction line list
Compound: Nd3Sm3Tl2
Radiation: Cu Ka
Structure: a crystal structure in Alexandria, relaxed with PBE
Lines closer than 0.1° are merged.

Structural model:
Cell: 4.9688 4.9892 9.9057 Å, 90.00 90.00 90.00°
Fractional positions:
Nd 0.0000 0.0000 0.0000
Nd 0.5000 0.0000 0.2501
Nd 0.5000 0.0000 0.7499
Sm 0.0000 0.0000 0.5000
Sm 0.5000 0.5000 0.0000
Sm 0.5000 0.5000 0.5000
Tl 0.0000 0.5000 0.2518
Tl 0.0000 0.5000 0.7482

Largest 10 diffraction maxima, in order of falling intensity, 15 to 90 degrees two-theta:
- 31.2 deg, intensity 100
- 52.0 deg, intensity 24
- 36.0 deg, intensity 17
- 36.2 deg, intensity 17
- 36.3 deg, intensity 17
- 61.7 deg, intensity 14
- 61.9 deg, intensity 14
- 62.1 deg, intensity 14
- 65.0 deg, intensity 12
- 52.1 deg, intensity 12

=====

10.
Theoretical powder diffraction line list
Compound: Pa2CuO
Radiation: Cu Ka
Structure: a crystal structure in Alexandria, relaxed with PBE
Lines closer than 0.1° are merged.

Structural model:
Cell: 3.1504 3.1504 27.0797 Å, 90.00 90.00 120.00°
Fractional positions:
Pa 0.0000 0.0000 0.1070
Pa 0.0000 0.0000 0.8930
Pa 0.3333 0.6667 0.5597
Pa 0.3333 0.6667 0.7736
Pa 0.6667 0.3333 0.2264
Pa 0.6667 0.3333 0.4403
Cu 0.0000 0.0000 0.0000
Cu 0.3333 0.6667 0.6667
Cu 0.6667 0.3333 0.3333
O 0.0000 0.0000 0.5000
O 0.3333 0.6667 0.1667
O 0.6667 0.3333 0.8333

Largest 10 diffraction maxima, in order of falling intensity, 15 to 90 degrees two-theta:
- 33.0 deg, intensity 100
- 36.9 deg, intensity 68
- 29.7 deg, intensity 64
- 47.3 deg, intensity 55
- 35.5 deg, intensity 51
- 42.6 deg, intensity 40
- 67.1 deg, intensity 40
- 58.6 deg, intensity 34
- 19.7 deg, intensity 27
- 33.5 deg, intensity 21

=====

11.
Theoretical powder diffraction line list
Compound: Be5Tc3
Radiation: Cu Ka
Structure: a crystal structure in Alexandria, relaxed with PBE
Lines closer than 0.1° are merged.

Structural model:
Cell: 7.2287 7.4690 3.1901 Å, 90.00 90.00 90.00°
Fractional positions:
Be 0.0000 0.0000 0.0000
Be 0.2478 0.5000 0.5000
Be 0.2500 0.2500 0.0000
Be 0.2500 0.7500 0.0000
Be 0.2522 0.0000 0.5000
Be 0.5000 0.5000 0.0000
Be 0.7478 0.0000 0.5000
Be 0.7500 0.2500 0.0000
Be 0.7500 0.7500 0.0000
Be 0.7522 0.5000 0.5000
Tc 0.0000 0.2230 0.5000
Tc 0.0000 0.5000 0.0000
Tc 0.0000 0.7770 0.5000
Tc 0.5000 0.0000 0.0000
Tc 0.5000 0.2770 0.5000
Tc 0.5000 0.7230 0.5000

Largest 10 diffraction maxima, in order of falling intensity, 15 to 90 degrees two-theta:
- 24.6 deg, intensity 100
- 45.0 deg, intensity 99
- 37.1 deg, intensity 63
- 33.0 deg, intensity 39
- 38.2 deg, intensity 29
- 64.3 deg, intensity 24
- 17.1 deg, intensity 21
- 50.5 deg, intensity 19
- 48.8 deg, intensity 16
- 55.4 deg, intensity 15

=====

12.
Theoretical powder diffraction line list
Compound: Na4B5C3
Radiation: Cu Ka
Structure: a crystal structure in Alexandria, relaxed with PBE
Lines closer than 0.1° are merged.

Structural model:
Cell: 8.9720 8.9720 10.0681 Å, 106.43 106.43 18.18°
Fractional positions:
Na 0.0000 0.0000 0.0000
Na 0.0000 0.0000 0.5000
Na 0.2482 0.2482 0.6241
Na 0.2505 0.2505 0.1247
Na 0.4999 0.4999 0.2486
Na 0.5001 0.5001 0.7514
Na 0.7495 0.7495 0.8753
Na 0.7518 0.7518 0.3759
B 0.1251 0.1251 0.2234
B 0.1248 0.1248 0.7433
B 0.3753 0.3753 0.0168
B 0.3753 0.3753 0.3566
B 0.3747 0.3747 0.5353
B 0.6253 0.6253 0.4647
B 0.6247 0.6247 0.6434
B 0.6247 0.6247 0.9832
B 0.8752 0.8752 0.2567
B 0.8749 0.8749 0.7766
C 0.1248 0.1248 0.9034
C 0.1258 0.1258 0.3871
C 0.3755 0.3755 0.8552
C 0.6245 0.6245 0.1448
C 0.8742 0.8742 0.6129
C 0.8752 0.8752 0.0966

Largest 10 diffraction maxima, in order of falling intensity, 15 to 90 degrees two-theta:
- 42.3 deg, intensity 100
- 41.7 deg, intensity 51
- 42.6 deg, intensity 38
- 36.4 deg, intensity 18
- 64.5 deg, intensity 17
- 77.8 deg, intensity 12
- 81.1 deg, intensity 11
- 35.7 deg, intensity 10
- 80.5 deg, intensity 8
- 80.3 deg, intensity 8

=====

13.
Theoretical powder diffraction line list
Compound: Mg5Bi4H
Radiation: Cu Ka
Structure: a crystal structure in Alexandria, relaxed with PBE
Lines closer than 0.1° are merged.

Structural model:
Cell: 7.1585 7.1585 7.1585 Å, 100.13 100.13 130.41°
Fractional positions:
Mg 0.0000 0.0000 0.0000
Mg 0.1443 0.2926 0.6662
Mg 0.2926 0.6263 0.1483
Mg 0.4780 0.1443 0.8517
Mg 0.6263 0.4780 0.3338
Bi 0.1868 0.9583 0.3856
Bi 0.5728 0.8012 0.6144
Bi 0.8012 0.1868 0.2284
Bi 0.9583 0.5728 0.7716
H 0.3440 0.3440 0.0000

Largest 10 diffraction maxima, in order of falling intensity, 15 to 90 degrees two-theta:
- 26.3 deg, intensity 100
- 30.8 deg, intensity 56
- 43.3 deg, intensity 46
- 52.0 deg, intensity 36
- 29.8 deg, intensity 32
- 32.8 deg, intensity 29
- 50.7 deg, intensity 23
- 54.1 deg, intensity 22
- 44.1 deg, intensity 20
- 17.6 deg, intensity 18